1.
Simulated powder diffraction line list of CrO3 for Cu Ka, from a crystal structure in the Materials Project, relaxed with GGA+U.
Peak positions follow from Bragg's law for the DFT cell and can differ from measured ones.

Structural model:
```
8
Lattice="5.788 0.000 0.000 0.000 4.202 2.540 0.000 -4.202 2.540" Properties=species:S:1:pos:R:3 pbc="T T T"
Cr 1.447 -3.320 2.540
Cr 4.341 3.320 2.540
O 0.000 0.000 0.523
O 1.447 -1.881 3.229
O 1.447 1.082 3.506
O 2.894 0.000 0.523
O 4.341 -1.082 3.506
O 4.341 1.881 3.229
```

Peak list (12 most intense, 10 to 90 degrees two-theta, in order of falling intensity)
2θ (°), Rel. int.
20.43, 100
26.21, 86
25.63, 70
30.90, 34
39.91, 22
35.34, 18
37.33, 17
44.52, 16
66.51, 11
66.96, 11
52.17, 10
53.93, 10

2.
Simulated powder diffraction line list of LiCoPO4 for Cu Ka, from a crystal structure in the Materials Project, relaxed with GGA+U.
Peak positions follow from Bragg's law for the DFT cell and can differ from measured ones.

Structural model:
```
28
Lattice="5.066 0.000 0.000 0.000 10.196 0.000 -5.017 0.000 6.805" Properties=species:S:1:pos:R:3 pbc="T T T"
Li 1.004 1.581 0.050
Li -1.504 3.517 3.453
Li 1.554 6.679 3.352
Li -0.954 8.615 6.755
Co -3.478 6.689 6.744
Co -0.970 8.604 3.341
Co 1.019 1.591 3.463
Co 3.528 3.507 0.061
P -0.971 6.071 1.668
P -3.480 9.223 5.070
P 3.529 0.973 1.735
P 1.021 4.125 5.137
O -3.779 0.549 5.131
O -1.271 4.549 1.728
O -1.570 6.745 2.934
O -4.078 8.549 6.336
O -0.922 1.598 3.024
O -3.431 3.499 6.427
O 0.562 6.339 1.641
O -1.946 8.955 5.044
O 1.996 1.241 1.761
O -0.513 3.857 5.164
O 3.480 6.696 0.378
O 0.972 8.597 3.780
O 4.128 1.647 0.468
O 1.619 3.451 3.871
O 1.320 5.647 5.076
O 3.829 9.647 1.674
```

Peak list (12 most intense, 10 to 90 degrees two-theta, in order of falling intensity)
2θ (°), Rel. int.
21.79, 100
23.50, 96
21.95, 89
15.66, 88
35.44, 64
31.63, 59
35.21, 57
29.38, 56
23.64, 30
53.90, 26
60.94, 25
36.27, 23

3.
Simulated powder diffraction line list of Sr2TiMoO6 for Cu Ka, from a crystal structure in the Materials Project, relaxed with GGA+U.
Peak positions follow from Bragg's law for the DFT cell and can differ from measured ones.

Structural model:
```
10
Lattice="-2.837 2.837 3.987 2.837 -2.837 3.987 2.837 2.837 -3.987" Properties=species:S:1:pos:R:3 pbc="T T T"
Sr 2.837 0.000 1.993
Sr 0.000 2.837 1.993
Ti 0.000 0.000 0.000
Mo 0.000 0.000 3.987
O 4.174 1.253 0.000
O 0.000 0.000 1.973
O 1.253 1.500 0.000
O 1.584 1.337 3.987
O 0.000 0.000 6.001
O -1.337 1.584 3.987
```

Peak list (12 most intense, 10 to 90 degrees two-theta, in order of falling intensity)
2θ (°), Rel. int.
31.64, 100
31.53, 52
56.22, 40
45.20, 37
66.08, 21
56.41, 20
45.50, 18
74.86, 17
38.96, 11
65.84, 11
83.67, 11
19.20, 9

4.
Simulated powder diffraction line list of Li6Mn3FeP6O24 for Cu Ka, from a crystal structure in the Materials Project, relaxed with GGA+U.
Peak positions follow from Bragg's law for the DFT cell and can differ from measured ones.

Structural model:
```
40
Lattice="8.566 0.000 0.000 4.196 7.534 0.000 4.086 2.402 7.230" Properties=species:S:1:pos:R:3 pbc="T T T"
Li 0.000 0.000 0.000
Li 6.662 7.959 3.621
Li 8.330 6.739 6.223
Li 6.012 3.492 1.432
Li 10.994 7.659 4.389
Li 8.675 2.202 2.735
Mn 5.998 5.602 5.200
Mn 6.135 0.554 1.493
Mn 10.997 3.484 3.605
Fe 6.848 6.072 0.047
P 4.320 6.089 2.246
P 3.119 1.816 0.805
P 5.486 2.385 4.412
P 8.575 5.575 2.937
P 11.439 5.206 6.464
P 13.953 8.722 5.811
O 14.870 7.438 5.691
O 2.254 2.196 2.053
O 5.316 6.421 3.355
O 3.974 2.393 4.093
O 4.987 5.825 0.851
O 7.183 5.266 6.930
O 6.024 3.784 4.712
O 2.538 0.458 0.376
O 9.785 8.897 5.585
O 7.857 5.992 4.248
O 4.618 1.699 1.222
O 7.582 5.443 1.760
O 6.400 1.847 3.278
O 10.545 6.484 6.684
O 9.610 6.710 2.712
O 12.490 8.357 6.118
O 9.240 4.174 3.041
O 7.278 2.031 0.605
O 10.823 4.457 5.286
O 14.640 9.550 6.893
O 9.772 1.820 4.408
O 12.105 7.458 2.041
O 12.912 5.517 6.259
O 12.019 4.895 2.548
```

Peak list (12 most intense, 10 to 90 degrees two-theta, in order of falling intensity)
2θ (°), Rel. int.
23.81, 100
20.59, 68
32.84, 38
20.07, 38
23.91, 35
20.75, 34
24.04, 31
14.45, 29
24.19, 28
32.71, 24
29.17, 21
48.80, 19

5.
Simulated powder diffraction line list of NiP2O7 for Cu Ka, from a crystal structure in the Materials Project, relaxed with GGA+U.
Peak positions follow from Bragg's law for the DFT cell and can differ from measured ones.

Structural model:
```
40
Lattice="6.380 0.000 0.000 2.580 9.251 0.000 1.701 4.389 9.726" Properties=species:S:1:pos:R:3 pbc="T T T"
Ni 0.000 0.000 0.000
Ni 1.428 3.388 0.248
Ni 5.314 3.221 4.621
Ni 6.775 6.694 4.886
P 1.068 1.378 2.737
P 3.507 5.985 5.410
P 3.381 6.049 0.394
P 5.897 9.856 4.459
P 4.914 5.036 9.275
P 5.648 5.273 2.117
P 6.405 3.958 6.949
P 8.363 7.084 7.715
O 2.362 6.428 4.504
O 2.485 7.276 0.423
O 3.050 6.172 6.941
O 1.791 2.506 1.959
O 2.725 4.735 0.768
O 4.791 9.634 3.284
O 6.235 13.441 9.540
O 5.198 9.804 5.827
O 3.771 4.487 5.280
O 4.690 6.539 9.409
O 5.755 10.420 8.740
O 4.761 6.808 5.204
O 4.502 6.251 1.556
O 3.943 1.938 4.121
O 5.288 4.819 7.710
O 4.939 4.141 2.905
O 6.827 8.655 4.437
O 6.986 9.364 0.347
O 6.539 6.127 2.967
O 8.332 11.883 6.494
O 7.125 7.202 6.876
O 6.276 4.557 0.923
O 6.591 4.623 5.542
O 8.203 6.404 9.122
O 6.801 2.039 3.941
O 7.646 3.898 7.811
O 9.122 9.755 1.889
O 9.078 8.388 8.152
```

Peak list (12 most intense, 10 to 90 degrees two-theta, in order of falling intensity)
2θ (°), Rel. int.
10.49, 100
17.44, 83
18.24, 62
22.74, 59
20.69, 41
16.71, 39
31.88, 39
21.07, 36
20.13, 31
37.00, 30
29.22, 30
10.69, 27

6.
Simulated powder diffraction line list of Fe3P2O16 for Cu Ka, from a crystal structure in the Materials Project, relaxed with GGA+U.
Peak positions follow from Bragg's law for the DFT cell and can differ from measured ones.

Structural model:
```
21
Lattice="4.524 0.000 0.000 1.159 7.873 0.000 2.172 3.512 8.950" Properties=species:S:1:pos:R:3 pbc="T T T"
Fe 0.000 0.000 0.000
Fe 3.342 3.107 3.837
Fe 4.512 8.278 5.113
P 2.105 8.856 2.859
P 5.749 2.528 6.091
O 1.952 3.532 5.169
O 2.832 5.281 8.056
O 3.121 9.055 6.279
O 1.573 5.822 0.227
O 2.363 8.218 1.471
O 3.510 9.167 3.510
O 2.820 4.577 2.490
O 4.104 6.346 5.650
O 3.750 5.039 3.300
O 5.035 6.808 6.461
O 4.344 2.218 5.440
O 5.492 3.166 7.479
O 6.281 5.563 8.723
O 4.733 2.330 2.671
O 5.022 6.104 0.894
O 5.902 7.852 3.782
```

Peak list (12 most intense, 10 to 90 degrees two-theta, in order of falling intensity)
2θ (°), Rel. int.
12.08, 100
24.08, 36
30.65, 35
19.09, 34
20.82, 18
38.26, 17
22.85, 15
24.28, 15
41.01, 13
21.44, 10
24.44, 10
49.75, 9

7.
Simulated powder diffraction line list of MgV2CdO6 for Cu Ka, from a crystal structure in the Materials Project, relaxed with GGA+U.
Peak positions follow from Bragg's law for the DFT cell and can differ from measured ones.

Structural model:
```
10
Lattice="5.511 -1.982 0.000 5.511 1.982 0.000 -1.421 0.000 6.613" Properties=species:S:1:pos:R:3 pbc="T T T"
Mg 0.000 0.000 0.000
V 3.463 0.000 0.802
V 8.489 0.000 3.007
Cd 5.133 0.000 4.608
O 0.598 0.000 6.460
O 3.314 0.000 2.714
O 5.176 0.000 0.050
O 6.812 0.000 3.250
O 9.225 0.000 1.156
O 9.591 0.000 4.530
```

Peak list (12 most intense, 10 to 90 degrees two-theta, in order of falling intensity)
2θ (°), Rel. int.
18.93, 100
28.36, 97
23.38, 93
34.30, 45
45.77, 40
23.92, 35
34.97, 32
28.55, 29
40.90, 28
16.45, 25
47.48, 24
33.25, 24

8.
Simulated powder diffraction line list of CsMgAlMo2O8 for Cu Ka, from a crystal structure in the Materials Project, relaxed with GGA+U.
Peak positions follow from Bragg's law for the DFT cell and can differ from measured ones.

Structural model:
```
13
Lattice="5.736 0.000 0.000 -2.868 4.967 0.000 0.000 0.000 10.310" Properties=species:S:1:pos:R:3 pbc="T T T"
Cs 0.000 0.000 0.000
Mg 0.000 0.000 6.466
Al 0.000 0.000 3.919
Mo 0.000 3.312 5.670
Mo 2.868 1.656 2.285
O 0.000 1.462 5.130
O -1.602 4.236 5.130
O 1.361 0.786 2.781
O 0.000 3.312 7.515
O 2.868 1.656 0.516
O 1.602 4.236 5.130
O 4.375 0.786 2.781
O 2.868 3.396 2.781
```

Peak list (12 most intense, 10 to 90 degrees two-theta, in order of falling intensity)
2θ (°), Rel. int.
19.84, 100
24.89, 56
31.19, 50
31.66, 29
49.34, 20
37.24, 16
45.03, 15
51.82, 15
55.79, 14
17.86, 13
35.83, 12
17.20, 11